Theoretical X-ray powder pattern of RbYAgBr5 for Cu Kα X-rays, from a structure optimized by DFT (GGA-PBE).

Unit cell a=9.348 b=13.072 c=10.729 alpha=90.00 beta=111.41 gamma=90.00
Space group C2/c (No. 15)
Inequivalent atoms, fractional coordinates:
Rb 0.000 0.154 0.250 (multiplicity 4)
Y 0.000 0.500 0.000 (multiplicity 4)
Ag 0.000 0.189 0.750 (multiplicity 4)
Br 0.000 0.428 0.250 (multiplicity 4)
Br 0.106 0.303 0.592 (multiplicity 8)
Br 0.193 0.060 0.939 (multiplicity 8)

Principal peaks in the range 2θ = 5–70°, sorted by position:
| (hkl) | 2θ (°) | I (rel.) |
| --- | --- | --- |
| 1 1 -2 | 18.3 | 73 |
| 2 0 0 | 20.4 | 49 |
| 1 3 1 | 25.9 | 100 |
| 3 3 0 | 37.2 | 43 |
| 1 5 -2 | 38.5 | 34 |
| 4 0 -4 | 44.1 | 37 |